The following is a simulated powder XRD pattern of Pm4Nd7Sm. It was derived from DFT lattice parameters and positions (PBE), using Cu Ka.
Lines closer than 0.1° are merged.

Atomic structure:
Unit cell a=6.4015 b=7.3762 c=9.1518 alpha=90.02 beta=103.53 gamma=90.02
Space group P-1 (No. 2)
Unique sites:
Pm1 0.2207 0.9996 0.1675
Pm2 0.2790 0.2500 0.8317
Nd1 0.0000 0.0000 0.5000
Nd2 0.2209 0.4997 0.1676
Nd3 0.2792 0.7506 0.8323
Nd4 0.5001 0.2499 0.5002
Sm1 0.0000 0.5000 0.5000

Top 10 peaks for 15 to 90 degrees two-theta, in order of rising 2θ:
Position (°2θ), Rel. int., h k l
28.1, 36, 1 2 0
30.1, 50, 0 0 3
31.0, 100, 2 0 -2
32.6, 85, 2 0 1
39.0, 16, 1 2 -3
49.4, 38, 0 4 0
53.0, 23, 2 0 -5
56.2, 18, 2 0 4
58.9, 37, 3 2 2
59.5, 16, 2 4 -2

---

The following is a simulated powder XRD pattern of PmNd4Sm5. It was derived from DFT lattice parameters and positions (PBE), using Cu Ka.
Lines closer than 0.1° are merged.

Atomic structure:
Unit cell a=10.7972 b=10.7972 c=5.9068 alpha=90.00 beta=90.00 gamma=90.00
Space group P4/nmm (No. 129, origin choice 2)
Unique sites:
Pm1 0.2500 0.2500 0.1307
Nd1 0.0449 0.7500 0.8661
Sm1 0.0869 0.0869 0.6686
Sm2 0.2500 0.7500 0.5000

Top 10 peaks for 15 to 90 degrees two-theta, in order of rising 2θ:
Position (°2θ), Rel. int., h k l
27.8, 21, 2 2 1
29.1, 100, 3 0 1
30.2, 45, 3 1 1
31.4, 31, 1 0 2
35.3, 31, 3 3 0
50.7, 16, 6 0 0
52.5, 25, 4 3 2
58.0, 13, 4 0 3
59.5, 17, 6 3 1
68.0, 12, 7 3 1

---

The following is a simulated powder XRD pattern of Pm3NdSm2. It was derived from DFT lattice parameters and positions (PBE), using Cu Ka.
Lines closer than 0.1° are merged.

Atomic structure:
Unit cell a=18.2892 b=3.4945 c=6.6576 alpha=90.00 beta=103.14 gamma=90.00
Space group C2/m (No. 12)
Unique sites:
Pm1 0.0000 0.0000 0.0000
Pm2 0.1718 0.0000 0.3582
Nd1 0.0000 0.0000 0.5000
Sm1 0.1626 0.5000 0.8539

Top 10 peaks for 15 to 90 degrees two-theta, in order of rising 2θ:
Position (°2θ), Rel. int., h k l
26.0, 15, 1 1 0
30.1, 100, 6 0 0
30.2, 51, 4 0 -2
31.3, 17, 3 1 -1
31.4, 45, 2 0 2
36.5, 28, 5 1 -1
48.8, 20, 7 1 1
55.1, 16, 8 0 2
61.6, 27, 6 2 0
62.4, 14, 2 2 2

---

> Number 3 is which compound?

Pm3NdSm2